Starting from a cell relaxed with GGA-PBE, the XRD peak list of Ca5P8 was simulated for Cu Kα, 1.54184 Å.

The 12 most intense peaks (10 to 90 degrees two-theta), in order of rising 2θ:
h k l, two_theta, I_rel
2 0 0, 27.15, 8
0 2 2, 29.16, 7
2 0 -2, 30.70, 51
1 3 1, 30.89, 100
2 0 2, 42.75, 38
3 3 -1, 45.46, 39
0 6 0, 45.67, 18
0 0 4, 51.18, 8
4 0 0, 55.91, 10
2 6 -2, 56.04, 14
0 6 4, 70.99, 10
1 3 5, 76.38, 7

Cell and atoms:
```
data_Ca5P8
_chemical_formula_sum 'Ca10 P16'
_cell_length_a 6.922
_cell_length_b 11.918
_cell_length_c 7.511
_cell_angle_alpha 90.00
_cell_angle_beta 108.12
_cell_angle_gamma 90.00
_space_group_name_H-M_alt 'C 1 2/m 1'
_space_group_IT_number 12
_space_group_name_Hall '-C 2y'
loop_
_atom_site_label
_atom_site_fract_x
_atom_site_fract_y
_atom_site_fract_z
Ca1 0.000 0.000 0.000
Ca2 0.000 0.165 0.500
Ca3 0.000 0.325 0.000
P1 0.053 0.500 0.664
P2 0.223 0.500 0.258
P3 0.232 0.347 0.740
```